[1]
Calculated PXRD pattern of Sb17S27 for a wavelength of 1.5418 Å, from a GGA-PBE-relaxed structure.
Neutral-atom scattering factors, no anomalous dispersion.

Principal peaks in the range 2θ from 15° to 90°, sorted by position:
2θ/deg, intensity
15.4, 23
19.0, 29
23.6, 24
26.4, 100
30.8, 20
31.0, 18
31.7, 36
31.9, 49
44.2, 27
46.6, 28

Crystal structure
```
data_Sb17S27
_cell_length_a 8.776
_cell_length_b 8.791
_cell_length_c 15.387
_cell_angle_alpha 103.69
_cell_angle_beta 95.39
_cell_angle_gamma 96.58
_space_group_name_H-M_alt 'P 1'
_space_group_IT_number 1
loop_
_space_group_symop_operation_xyz
'x,y,z'
loop_
_atom_site_label
_atom_site_type_symbol
_atom_site_fract_x
_atom_site_fract_y
_atom_site_fract_z
Sb1 Sb 0.000 0.000 0.000
Sb2 Sb 0.018 0.396 0.590
Sb3 Sb 0.093 0.678 0.121
Sb4 Sb 0.185 0.342 0.268
Sb5 Sb 0.276 0.999 0.396
Sb6 Sb 0.281 0.625 0.810
Sb7 Sb 0.349 0.728 0.587
Sb8 Sb 0.353 0.351 0.000
Sb9 Sb 0.428 0.008 0.128
Sb10 Sb 0.526 0.671 0.265
Sb11 Sb 0.595 0.939 0.811
Sb12 Sb 0.613 0.336 0.395
Sb13 Sb 0.686 0.061 0.591
Sb14 Sb 0.754 0.340 0.121
Sb15 Sb 0.854 0.000 0.265
Sb16 Sb 0.923 0.295 0.807
Sb17 Sb 0.947 0.663 0.393
S1 S 0.029 0.692 0.556
S2 S 0.036 0.365 0.074
S3 S 0.139 0.014 0.200
S4 S 0.235 0.659 0.327
S5 S 0.260 0.331 0.841
S6 S 0.293 0.879 0.735
S7 S 0.300 0.037 0.975
S8 S 0.312 0.314 0.421
S9 S 0.317 0.470 0.659
S10 S 0.361 0.026 0.556
S11 S 0.373 0.696 0.081
S12 S 0.469 0.344 0.200
S13 S 0.570 0.676 0.849
S14 S 0.571 0.989 0.321
S15 S 0.629 0.358 0.973
S16 S 0.631 0.218 0.736
S17 S 0.645 0.647 0.421
S18 S 0.653 0.807 0.659
S19 S 0.693 0.360 0.554
S20 S 0.710 0.032 0.082
S21 S 0.797 0.688 0.204
S22 S 0.906 0.329 0.326
S23 S 0.912 0.984 0.841
S24 S 0.955 0.542 0.737
S25 S 0.976 0.707 0.973
S26 S 0.981 0.981 0.422
S27 S 0.987 0.138 0.663
```


[2]
Calculated PXRD pattern of Sb11S18 for a wavelength of 1.5418 Å, from a GGA-PBE-relaxed structure.
Neutral-atom scattering factors, no anomalous dispersion.

Principal peaks in the range 2θ from 15° to 90°, sorted by position:
2θ/deg, intensity
15.3, 28
18.8, 49
23.4, 33
26.5, 100
26.6, 38
31.8, 49
31.9, 68
44.3, 39
46.9, 37
47.0, 34

Crystal structure
```
data_Sb11S18
_cell_length_a 6.862
_cell_length_b 7.733
_cell_length_c 15.426
_cell_angle_alpha 75.77
_cell_angle_beta 81.20
_cell_angle_gamma 73.49
_space_group_name_H-M_alt 'P 1'
_space_group_IT_number 1
loop_
_space_group_symop_operation_xyz
'x,y,z'
loop_
_atom_site_label
_atom_site_type_symbol
_atom_site_fract_x
_atom_site_fract_y
_atom_site_fract_z
Sb1 Sb 0.000 0.000 0.000
Sb2 Sb 0.002 0.498 0.002
Sb3 Sb 0.201 0.216 0.465
Sb4 Sb 0.211 0.709 0.472
Sb5 Sb 0.240 0.338 0.688
Sb6 Sb 0.243 0.859 0.689
Sb7 Sb 0.432 0.574 0.147
Sb8 Sb 0.439 0.069 0.144
Sb9 Sb 0.606 0.408 0.881
Sb10 Sb 0.864 0.149 0.276
Sb11 Sb 0.870 0.649 0.272
S1 S 0.003 0.193 0.617
S2 S 0.160 0.365 0.207
S3 S 0.163 0.857 0.206
S4 S 0.251 0.704 0.956
S5 S 0.266 0.200 0.967
S6 S 0.435 0.374 0.539
S7 S 0.435 0.869 0.540
S8 S 0.472 0.019 0.736
S9 S 0.517 0.510 0.721
S10 S 0.584 0.458 0.301
S11 S 0.589 0.959 0.303
S12 S 0.695 0.791 0.084
S13 S 0.702 0.280 0.082
S14 S 0.858 0.600 0.853
S15 S 0.859 0.115 0.852
S16 S 0.915 0.056 0.438
S17 S 0.918 0.549 0.436
S18 S 0.997 0.693 0.616
```


[3]
Calculated PXRD pattern of SnSb4S7 for a wavelength of 1.5418 Å, from a GGA-PBE-relaxed structure.
Neutral-atom scattering factors, no anomalous dispersion.

Principal peaks in the range 2θ from 15° to 90°, sorted by position:
2θ/deg, intensity
24.2, 60
24.3, 70
29.0, 56
29.6, 53
31.4, 100
32.4, 48
33.0, 51
33.2, 36
46.6, 43
50.5, 45

Crystal structure
```
data_SnSb4S7
_cell_length_a 11.367
_cell_length_b 3.899
_cell_length_c 14.772
_cell_angle_alpha 90.00
_cell_angle_beta 104.61
_cell_angle_gamma 90.00
_space_group_name_H-M_alt 'P 1'
_space_group_IT_number 1
loop_
_space_group_symop_operation_xyz
'x,y,z'
loop_
_atom_site_label
_atom_site_type_symbol
_atom_site_fract_x
_atom_site_fract_y
_atom_site_fract_z
Sn1 Sn 0.119 0.250 0.286
Sn2 Sn 0.881 0.750 0.714
Sb1 Sb 0.156 0.750 0.540
Sb2 Sb 0.169 0.750 0.974
Sb3 Sb 0.428 0.250 0.881
Sb4 Sb 0.444 0.750 0.380
Sb5 Sb 0.556 0.250 0.620
Sb6 Sb 0.572 0.750 0.119
Sb7 Sb 0.831 0.250 0.026
Sb8 Sb 0.844 0.250 0.460
S1 S 0.013 0.250 0.605
S2 S 0.031 0.250 0.899
S3 S 0.260 0.750 0.833
S4 S 0.263 0.250 0.462
S5 S 0.267 0.750 0.244
S6 S 0.390 0.250 0.039
S7 S 0.453 0.750 0.680
S8 S 0.547 0.250 0.320
S9 S 0.610 0.750 0.961
S10 S 0.733 0.250 0.756
S11 S 0.737 0.750 0.538
S12 S 0.740 0.250 0.167
S13 S 0.969 0.750 0.101
S14 S 0.987 0.750 0.395
```